No. 1
Simulated powder diffraction line list
Compound: Fe10O11F9
Radiation: copper Kα
Structure: a cell relaxed with PBE+U

Main lines, most intense first (10 to 80 degrees two-theta):
| 2θ (°) | intensity |
| --- | --- |
| 25.3 | 1000 |
| 34.9 | 944 |
| 27.6 | 885 |
| 53.7 | 481 |
| 51.1 | 321 |
| 51.0 | 306 |
| 66.4 | 197 |
| 66.3 | 193 |
| 51.9 | 169 |
| 37.8 | 166 |

Atomic structure:
```
Fe10O11F9
1.0
4.774 0.000 0.000
0.417 4.760 0.000
0.029 0.021 15.301
Fe O F
10 11 9
Direct
0.000 0.000 0.000 Fe
0.000 0.015 0.607 Fe
0.033 0.049 0.806 Fe
0.046 0.043 0.214 Fe
0.463 0.536 0.111 Fe
0.493 0.509 0.711 Fe
0.496 0.504 0.902 Fe
0.497 0.504 0.302 Fe
0.504 0.519 0.508 Fe
0.999 0.013 0.408 Fe
0.183 0.842 0.106 O
0.198 0.818 0.510 O
0.200 0.825 0.701 O
0.207 0.820 0.905 O
0.209 0.821 0.312 O
0.312 0.333 0.206 O
0.317 0.329 0.804 O
0.804 0.212 0.510 O
0.809 0.217 0.907 O
0.810 0.215 0.701 O
0.811 0.216 0.310 O
0.304 0.330 0.008 F
0.310 0.326 0.605 F
0.313 0.324 0.410 F
0.688 0.710 0.009 F
0.692 0.708 0.607 F
0.693 0.715 0.205 F
0.695 0.706 0.408 F
0.699 0.711 0.805 F
0.794 0.232 0.104 F
```

No. 2
Simulated powder diffraction line list
Compound: FeO2F
Radiation: copper Kα
Structure: a cell relaxed with PBE+U

Main lines, most intense first (10 to 80 degrees two-theta):
| 2θ (°) | intensity |
| --- | --- |
| 22.7 | 1000 |
| 25.9 | 857 |
| 37.2 | 475 |
| 36.8 | 421 |
| 46.4 | 253 |
| 53.3 | 219 |
| 52.0 | 217 |
| 60.4 | 206 |
| 43.7 | 188 |
| 60.6 | 144 |

Atomic structure:
```
FeO2F
1.0
4.396 -2.444 0.000
4.396 2.444 0.000
-2.223 0.000 4.331
Fe O F
2 4 2
Direct
0.000 0.500 0.000 Fe
0.500 0.000 0.500 Fe
0.059 0.365 0.374 O
0.365 0.059 0.874 O
0.635 0.941 0.126 O
0.941 0.635 0.626 O
0.297 0.703 0.250 F
0.703 0.297 0.750 F
```

No. 3
Simulated powder diffraction line list
Compound: Fe6O7F5
Radiation: copper Kα
Structure: a cell relaxed with PBE+U

Main lines, most intense first (10 to 80 degrees two-theta):
| 2θ (°) | intensity |
| --- | --- |
| 25.2 | 1000 |
| 35.1 | 928 |
| 27.5 | 916 |
| 51.1 | 557 |
| 53.7 | 500 |
| 66.3 | 358 |
| 40.8 | 184 |
| 39.2 | 174 |
| 37.7 | 160 |
| 61.2 | 155 |

Atomic structure:
```
Fe6O7F5
1.0
4.652 -3.245 0.000
4.652 3.245 0.000
-3.379 0.000 6.894
Fe O F
6 7 5
Direct
0.000 0.000 0.000 Fe
0.273 0.347 0.854 Fe
0.304 0.371 0.324 Fe
0.629 0.696 0.676 Fe
0.653 0.727 0.146 Fe
0.969 0.031 0.500 Fe
0.006 0.682 0.337 O
0.201 0.250 0.045 O
0.295 0.705 0.000 O
0.318 0.994 0.663 O
0.620 0.072 0.340 O
0.750 0.799 0.955 O
0.928 0.380 0.660 O
0.076 0.136 0.297 F
0.399 0.462 0.622 F
0.538 0.601 0.378 F
0.677 0.323 0.000 F
0.864 0.924 0.703 F
```